Record 1
# Cu7Ag3
Theoretical PXRD pattern, Cu Ka. Input: a crystal structure in OQMD, relaxed with GGA-PBE.
Intensities are scaled so that the largest is 1000.

Most intense lines, 2θ from 10° to 80°, low angle first:
(hkl)	d [Å]	I (rel.)
1 1 -2	2.196	1000
6 0 -2	1.928	161
4 0 2	1.894	155
0 2 0	1.884	155
6 2 -2	1.348	98
4 2 2	1.336	91

Crystal structure
Cell: 13.8189 3.7681 5.4099 Å, 90.00 102.32 90.00°
Space group C2/m (No. 12)
Unique sites:
Cu 0.0000 0.0000 0.0000 (multiplicity 2)
Cu 0.1078 0.5000 0.8058 (multiplicity 4)
Cu 0.2023 0.0000 0.6115 (multiplicity 4)
Cu 0.2037 0.0000 0.0911 (multiplicity 4)
Ag 0.0000 0.0000 0.5000 (multiplicity 2)
Ag 0.1044 0.5000 0.2910 (multiplicity 4)

=====

Record 2
# Ba2PrSe3
Theoretical PXRD pattern, Cu Ka. Input: a crystal structure in OQMD, relaxed with GGA-PBE.
Intensities are scaled so that the largest is 1000.

Most intense lines, 2θ from 10° to 80°, low angle first:
(hkl)	d [Å]	I (rel.)
0 1 2	3.207	1000
1 0 4	2.289	368
1 1 0	2.247	378
2 0 2	1.841	200
1 1 6	1.445	152
1 2 2	1.424	172

Crystal structure
Cell: 4.4948 4.4948 11.3191 Å, 90.00 90.00 120.00°
Space group P-3m1 (No. 164)
Unique sites:
Ba 0.3333 0.6667 0.1746 (multiplicity 2)
Pr 0.0000 0.0000 0.5000 (multiplicity 1)
Se 0.0000 0.0000 0.0000 (multiplicity 1)
Se 0.3333 0.6667 0.6454 (multiplicity 2)

=====

Record 3
# LiScInPd
Theoretical PXRD pattern, Cu Ka. Input: a crystal structure in OQMD, relaxed with GGA-PBE.
Intensities are scaled so that the largest is 1000.

Most intense lines, 2θ from 10° to 80°, low angle first:
(hkl)	d [Å]	I (rel.)
1 0 1	3.789	522
2 0 0	2.321	1000
2 1 1	1.979	262
2 2 0	1.641	165
3 0 1	1.506	107
3 1 2	1.340	326

Crystal structure
Cell: 4.6414 4.6414 6.5626 Å, 90.00 90.00 90.00°
Space group P-4m2 (No. 115)
Unique sites:
Li 0.0000 0.0000 0.0000 (multiplicity 1)
Li 0.5000 0.5000 0.5000 (multiplicity 1)
Sc 0.0000 0.5000 0.7495 (multiplicity 2)
In 0.0000 0.5000 0.2490 (multiplicity 2)
Pd 0.0000 0.0000 0.5000 (multiplicity 1)
Pd 0.5000 0.5000 0.0000 (multiplicity 1)